Structure and computed X-ray powder pattern of Na6ZnSi2Sn3P4O24 (a cell relaxed with PBE; Cu Ka).

Structural model:
abc: 8.9858 8.9944 9.0617
angles: 119.53 90.07 119.71
Atoms (fractional coordinates):
Na  0.0000  0.0000  0.0000
Na  0.1067  0.8639  0.2466
Na  0.2205  0.7316  0.5292
Na  0.3415  0.7184  0.9776
Na  0.6196  0.8819  0.7672
Na  0.8851  0.0822  0.5690
Zn  0.9642  0.5743  0.8209
Si  0.0715  0.3848  0.0208
Si  0.1684  0.3806  0.5151
Sn  0.2704  0.1785  0.7062
Sn  0.4746  0.5895  0.3254
Sn  0.7670  0.1808  0.2103
P  0.3763  0.0920  0.0139
P  0.5700  0.0866  0.5111
P  0.6657  0.6830  0.0225
P  0.8712  0.6851  0.5271
O  0.0414  0.8588  0.5208
O  0.0571  0.5497  0.0089
O  0.1054  0.2332  0.8435
O  0.1347  0.5228  0.6877
O  0.1819  0.2063  0.5206
O  0.2129  0.9197  0.0164
O  0.2438  0.5240  0.2030
O  0.3368  0.0681  0.8318
O  0.3576  0.5489  0.5073
O  0.3829  0.0523  0.5199
O  0.4254  0.3028  0.1748
O  0.4962  0.4781  0.8597
O  0.5370  0.0688  0.0211
O  0.5601  0.9043  0.5083
O  0.5847  0.0616  0.3297
O  0.6437  0.7043  0.2005
O  0.6617  0.8565  0.0213
O  0.7155  0.7145  0.5092
O  0.7318  0.2852  0.6711
O  0.8303  0.4787  0.3601
O  0.8455  0.7131  0.0099
O  0.8867  0.2057  0.0239
O  0.9109  0.7092  0.7031
O  0.9907  0.2286  0.3320

The 8 most intense peaks (2θ = 10–90°), by angle:
| 2θ/deg | d_spacing | I_rel |
| --- | --- | --- |
| 19.50 | 4.552 | 67 |
| 19.63 | 4.523 | 100 |
| 19.75 | 4.495 | 77 |
| 23.11 | 3.848 | 37 |
| 27.97 | 3.190 | 38 |
| 31.04 | 2.882 | 49 |
| 31.19 | 2.867 | 76 |
| 34.45 | 2.604 | 86 |